(1)
Diffraction record for CaNd2Mn3O9. The powder X-ray diffraction pattern is theoretical, not measured: it uses a cell relaxed with PBE+U and copper Kα.
Peak positions follow from Bragg's law for the DFT cell and can differ from measured ones.

Atomic structure:
```
60
Lattice="16.750 0.000 0.000 0.000 7.697 0.000 0.000 0.000 5.496" Properties=species:S:1:pos:R:3 pbc="T T T"
Ca 2.543 1.924 0.049
Ca 5.831 5.772 2.797
Ca 10.918 1.924 2.699
Ca 14.206 5.772 5.447
Nd 0.233 5.772 2.793
Nd 3.055 5.772 5.428
Nd 5.320 1.924 2.680
Nd 8.142 1.924 0.045
Nd 8.608 5.772 5.451
Nd 11.429 5.772 2.815
Nd 13.695 1.924 0.067
Nd 16.517 1.924 2.703
Mn 0.000 0.000 0.000
Mn 0.000 3.848 0.000
Mn 2.798 0.011 2.739
Mn 2.798 3.837 2.739
Mn 5.577 3.860 5.487
Mn 5.577 7.685 5.487
Mn 8.375 0.000 2.748
Mn 8.375 3.848 2.748
Mn 11.173 0.011 0.009
Mn 11.173 3.837 0.009
Mn 13.952 3.860 2.757
Mn 13.952 7.685 2.757
O 0.094 1.924 5.066
O 1.156 0.288 1.598
O 1.156 3.560 1.598
O 1.601 4.204 4.298
O 1.601 7.341 4.298
O 2.657 5.772 2.290
O 2.906 1.924 3.205
O 3.966 0.338 1.162
O 3.966 3.510 1.162
O 4.409 4.187 3.910
O 4.409 7.358 3.910
O 5.469 5.772 0.458
O 5.717 1.924 5.038
O 6.773 0.356 1.550
O 6.773 3.492 1.550
O 7.219 4.137 4.346
O 7.219 7.408 4.346
O 8.281 5.772 2.318
O 8.469 1.924 3.177
O 9.530 0.288 1.150
O 9.530 3.560 1.150
O 9.976 4.204 3.945
O 9.976 7.341 3.945
O 11.032 5.772 0.458
O 11.280 1.924 5.038
O 12.340 0.338 1.586
O 12.340 3.510 1.586
O 12.784 4.187 4.333
O 12.784 7.358 4.333
O 13.844 5.772 2.290
O 14.092 1.924 3.206
O 15.148 0.356 1.198
O 15.148 3.492 1.198
O 15.594 4.137 3.898
O 15.594 7.408 3.898
O 16.656 5.772 0.429
```

Peak list (10 most intense, 5 to 70 degrees two-theta, low angle first)
15.64°, I = 11
20.55°, I = 9
32.06°, I = 18
32.61°, I = 100
46.37°, I = 22
47.24°, I = 13
57.51°, I = 10
58.19°, I = 26
58.57°, I = 9
68.32°, I = 16



(2)
Diffraction record for Li2VP2O7. The powder X-ray diffraction pattern is theoretical, not measured: it uses a cell relaxed with PBE+U and copper Kα.
Peak positions follow from Bragg's law for the DFT cell and can differ from measured ones.

Atomic structure:
```
48
Lattice="3.653 -6.472 0.000 3.653 6.472 0.000 -0.573 0.000 11.669" Properties=species:S:1:pos:R:3 pbc="T T T"
Li 3.246 3.657 5.758
Li 3.223 3.728 8.752
Li 3.509 3.576 2.917
Li 3.772 3.657 0.076
Li 2.959 -3.657 11.593
Li 3.223 -3.576 8.752
Li 3.509 -3.728 2.917
Li 3.486 -3.657 5.911
V 0.886 0.052 7.126
V 1.173 -0.052 1.291
V 5.559 0.052 10.378
V 5.846 -0.052 4.543
P 1.616 1.477 10.062
P 2.145 1.347 4.322
P 1.902 -1.477 4.227
P 1.858 -1.347 10.157
P 4.874 1.347 1.513
P 4.829 1.477 7.442
P 4.587 -1.347 7.347
P 5.116 -1.477 1.608
O 0.461 1.235 11.093
O 1.033 1.520 8.641
O 1.276 1.330 3.051
O 1.285 1.490 5.596
O 2.489 2.678 10.304
O 0.747 -1.235 5.258
O 3.280 2.341 4.336
O 0.990 -1.330 8.886
O 1.319 -1.520 2.807
O 0.998 -1.490 11.431
O 3.739 2.341 1.499
O 3.956 2.678 7.200
O 2.571 0.146 10.210
O 2.857 -0.146 4.375
O 3.874 0.146 7.294
O 4.161 -0.146 1.459
O 2.776 -2.678 4.469
O 2.993 -2.341 10.170
O 5.733 1.490 0.239
O 5.413 1.520 8.863
O 5.742 1.330 2.784
O 3.452 -2.341 7.334
O 5.985 1.235 6.412
O 4.243 -2.678 1.365
O 5.447 -1.490 6.074
O 5.456 -1.330 8.618
O 5.699 -1.520 3.028
O 6.271 -1.235 0.577
```

Peak list (10 most intense, 5 to 70 degrees two-theta, low angle first)
13.68°, I = 100
24.40°, I = 41
28.13°, I = 97
28.21°, I = 63
28.82°, I = 45
29.50°, I = 40
30.65°, I = 34
37.14°, I = 23
39.79°, I = 50
40.30°, I = 28



(3)
Diffraction record for NaLi2FePCO7. The powder X-ray diffraction pattern is theoretical, not measured: it uses a cell relaxed with PBE+U and copper Kα.
Peak positions follow from Bragg's law for the DFT cell and can differ from measured ones.

Atomic structure:
```
52
Lattice="6.591 0.000 0.000 -0.106 8.628 0.000 -0.003 -0.428 10.131" Properties=species:S:1:pos:R:3 pbc="T T T"
Na 0.000 0.000 0.000
Na -0.001 -0.194 5.088
Na 1.601 7.037 2.510
Na 3.264 4.101 2.568
Li 1.651 6.778 7.616
Li 3.169 0.155 0.051
Li 3.169 -0.052 5.151
Li 3.319 3.798 7.577
Li 4.830 5.241 10.118
Li 4.869 5.429 5.122
Li 6.423 3.956 2.511
Li 6.431 3.787 7.562
Fe 1.582 3.411 0.155
Fe 1.610 3.228 5.294
Fe 4.891 0.722 2.372
Fe 4.909 0.457 7.456
P 1.609 1.277 2.779
P 1.662 0.997 7.849
P 4.874 2.483 9.894
P 4.909 2.693 4.903
C 1.627 5.558 9.923
C 1.629 5.827 5.011
C 4.840 6.429 7.741
C 4.901 6.700 2.698
O 0.365 0.399 2.431
O 0.386 0.182 7.479
O 1.475 2.699 2.196
O 1.533 4.792 8.874
O 1.545 5.028 3.978
O 1.600 5.319 6.211
O 1.644 2.439 7.281
O 1.611 5.444 0.975
O 1.774 1.350 4.327
O 1.782 1.083 9.405
O 1.732 6.846 9.772
O 1.737 7.104 4.838
O 2.830 0.509 2.171
O 2.845 0.147 7.284
O 3.653 3.790 0.170
O 3.686 3.592 5.286
O 4.791 1.259 5.471
O 4.806 1.482 0.354
O 4.736 7.568 3.662
O 4.780 7.269 8.739
O 4.862 5.153 7.988
O 4.864 7.110 1.458
O 4.873 6.889 6.520
O 4.941 2.391 8.333
O 5.031 2.607 3.348
O 5.091 5.453 2.999
O 6.101 3.709 0.304
O 6.129 3.471 5.483
```

Peak list (10 most intense, 5 to 70 degrees two-theta, low angle first)
10.26°, I = 100
19.95°, I = 34
20.71°, I = 36
26.58°, I = 36
27.06°, I = 99
31.10°, I = 23
34.45°, I = 20
35.44°, I = 40
36.55°, I = 20
55.81°, I = 26



(4)
Diffraction record for YCr3O9. The powder X-ray diffraction pattern is theoretical, not measured: it uses a cell relaxed with PBE+U and copper Kα.
Peak positions follow from Bragg's law for the DFT cell and can differ from measured ones.

Atomic structure:
```
52
Lattice="5.574 0.000 0.000 -0.036 8.050 0.000 -0.021 -0.049 16.057" Properties=species:S:1:pos:R:3 pbc="T T T"
Y 0.000 0.000 0.000
Y 0.170 4.117 11.236
Y 2.749 4.199 3.206
Y 2.990 0.134 8.011
Cr -0.010 6.678 3.588
Cr 0.045 6.078 13.624
Cr 0.087 2.043 13.656
Cr 0.154 2.641 7.665
Cr 0.185 2.356 3.214
Cr 2.790 2.273 11.317
Cr 2.776 5.545 15.694
Cr 2.806 6.113 5.633
Cr 2.909 2.093 5.597
Cr 2.883 6.603 11.545
Cr 2.962 1.824 16.024
Cr 5.528 6.367 7.995
O 0.082 1.448 1.842
O 0.137 5.493 9.375
O 0.157 2.720 9.313
O 0.331 4.110 7.057
O 0.354 4.043 13.421
O 0.466 3.901 2.678
O 1.324 6.090 12.062
O 1.352 1.860 12.098
O 1.396 6.527 7.098
O 1.458 6.473 15.061
O 1.489 1.653 15.166
O 1.511 1.741 7.070
O 1.543 6.114 4.072
O 1.623 2.022 4.028
O 2.468 3.837 10.861
O 2.556 4.072 15.106
O 2.588 4.089 5.405
O 2.728 5.557 1.281
O 2.880 2.757 1.358
O 2.884 6.696 9.897
O 2.956 1.473 9.888
O 3.140 0.060 5.817
O 3.168 0.012 12.144
O 3.291 0.325 0.478
O 4.067 6.005 7.225
O 4.194 2.066 7.144
O 4.213 5.668 12.160
O 4.231 5.760 4.207
O 4.264 2.416 12.170
O 4.299 2.512 4.089
O 4.340 6.064 15.202
O 4.389 2.195 15.206
O 5.240 7.917 8.512
O 5.361 0.047 13.868
O 5.410 0.098 4.187
O 5.499 6.724 1.946
```

Peak list (10 most intense, 5 to 70 degrees two-theta, low angle first)
15.58°, I = 40
20.15°, I = 62
22.13°, I = 38
23.04°, I = 29
24.76°, I = 14
32.10°, I = 100
32.22°, I = 20
45.05°, I = 13
47.07°, I = 18
48.48°, I = 14



(5)
Diffraction record for KYSnWO6. The powder X-ray diffraction pattern is theoretical, not measured: it uses a cell relaxed with PBE+U and copper Kα.
Peak positions follow from Bragg's law for the DFT cell and can differ from measured ones.

Atomic structure:
```
10
Lattice="0.000 4.194 4.194 4.194 0.000 4.194 4.194 4.194 0.000" Properties=species:S:1:pos:R:3 pbc="T T T"
K 0.000 0.000 0.000
Y 6.291 6.291 6.291
Sn 4.194 4.194 4.194
W 2.097 2.097 2.097
O 2.097 2.097 0.147
O 2.097 0.147 2.097
O 4.048 2.097 2.097
O 0.147 2.097 2.097
O 2.097 4.048 2.097
O 2.097 2.097 4.048
```

Peak list (10 most intense, 5 to 70 degrees two-theta, low angle first)
18.32°, I = 22
21.18°, I = 16
30.13°, I = 100
35.49°, I = 11
43.14°, I = 32
48.54°, I = 6
53.52°, I = 40
57.05°, I = 5
62.65°, I = 20
65.87°, I = 5



(6)
Diffraction record for V3Pb2O9. The powder X-ray diffraction pattern is theoretical, not measured: it uses a cell relaxed with PBE+U and copper Kα.
Peak positions follow from Bragg's law for the DFT cell and can differ from measured ones.

Atomic structure:
```
28
Lattice="3.848 -8.319 0.000 3.848 8.319 0.000 -3.551 0.000 6.203" Properties=species:S:1:pos:R:3 pbc="T T T"
V 2.073 6.990 3.101
V 0.306 2.666 6.196
V 2.998 4.058 4.447
V 2.082 -2.666 3.095
V 3.848 -6.990 0.000
V 4.774 -4.058 1.346
Pb 3.855 6.314 0.002
Pb 2.118 0.774 3.080
Pb 0.342 -0.774 6.182
Pb 2.079 -6.314 3.104
O 2.510 3.774 0.213
O -2.163 0.357 6.043
O -0.387 -0.357 2.942
O 2.291 5.945 4.533
O 0.168 1.636 4.802
O 2.075 3.565 3.091
O 1.740 3.641 5.966
O 1.944 -1.636 1.701
O 3.952 1.599 1.370
O 0.735 -3.774 3.314
O 2.176 -1.599 4.471
O 0.299 -3.565 6.193
O 3.890 2.274 4.697
O 6.369 0.273 0.227
O 4.593 -0.273 3.328
O 3.516 -3.641 2.864
O 4.066 -5.945 1.432
O 5.666 -2.274 1.595
```

Peak list (10 most intense, 5 to 70 degrees two-theta, low angle first)
10.63°, I = 43
17.84°, I = 76
20.82°, I = 42
26.69°, I = 73
27.89°, I = 98
28.79°, I = 99
29.99°, I = 40
30.27°, I = 100
36.24°, I = 50
39.72°, I = 43



(7)
Diffraction record for LiMn2NiO6. The powder X-ray diffraction pattern is theoretical, not measured: it uses a cell relaxed with PBE+U and copper Kα.
Peak positions follow from Bragg's law for the DFT cell and can differ from measured ones.

Atomic structure:
```
10
Lattice="2.916 0.000 0.000 0.155 5.894 0.000 1.418 1.681 6.176" Properties=species:S:1:pos:R:3 pbc="T T T"
Li 0.000 0.000 0.000
Mn 1.446 1.623 2.082
Mn 3.043 5.952 4.093
Ni 0.077 2.947 0.000
O 1.437 1.362 4.024
O 1.582 4.714 4.253
O 1.383 1.574 0.190
O 3.106 6.000 5.986
O 2.907 2.860 1.923
O 3.052 6.213 2.151
```

Peak list (10 most intense, 5 to 70 degrees two-theta, low angle first)
18.22°, I = 100
35.74°, I = 12
36.58°, I = 10
36.72°, I = 10
38.11°, I = 5
43.08°, I = 18
43.99°, I = 17
44.30°, I = 16
47.70°, I = 6
56.71°, I = 6



(8)
Diffraction record for Sr2VFeAsO3. The powder X-ray diffraction pattern is theoretical, not measured: it uses a cell relaxed with PBE+U and copper Kα.
Peak positions follow from Bragg's law for the DFT cell and can differ from measured ones.

Atomic structure:
```
16
Lattice="4.015 0.000 0.000 0.000 4.015 0.000 0.000 0.000 16.477" Properties=species:S:1:pos:R:3 pbc="T T T"
Sr 1.004 1.004 1.315
Sr 1.004 1.004 4.932
Sr 3.011 3.011 11.545
Sr 3.011 3.011 15.162
V 1.004 1.004 13.380
V 3.011 3.011 3.096
Fe 1.004 3.011 8.238
Fe 3.011 1.004 8.238
As 1.004 1.004 9.893
As 3.011 3.011 6.584
O 1.004 1.004 15.380
O 1.004 3.011 3.347
O 1.004 3.011 13.129
O 3.011 1.004 3.347
O 3.011 1.004 13.129
O 3.011 3.011 1.097
```

Peak list (10 most intense, 5 to 70 degrees two-theta, low angle first)
31.11°, I = 100
31.51°, I = 43
35.60°, I = 25
38.51°, I = 20
39.77°, I = 24
45.17°, I = 50
45.98°, I = 16
55.09°, I = 15
55.85°, I = 45
65.79°, I = 15